Entry 1:
Calculated X-ray powder pattern of Ba3Cd2Hg2Au4 for Cu Ka, from a structure optimized by DFT (GGA-PBE).
No peak broadening, texture or thermal motion is included.

Structural model:
Cell lengths 5.0252, 5.0252, 15.5002 Å; angles 90.00, 90.00, 120.00 degrees
Space group P-3m1 (No. 164)
Symmetry-distinct sites (fractional):
Ba 0.0000 0.0000 0.0000 x1
Ba 0.0000 0.0000 0.2836 x2
Cd 0.3333 0.6667 0.1429 x2
Hg 0.3333 0.6667 0.5737 x2
Au 0.3333 0.6667 0.3841 x2
Au 0.3333 0.6667 0.8650 x2

Top 6 peaks for 5 to 70 degrees two-theta, by intensity:
hkl	Position (°2θ)	I (rel.)
1 1 0	35.74	100
0 1 4	30.90	70
1 0 3	26.78	33
1 1 7	55.30	27
1 1 4	42.90	23
2 0 4	47.95	21

Entry 2:
Calculated X-ray powder pattern of LiZrGaI for Cu Ka, from a structure optimized by DFT (GGA-PBE).
No peak broadening, texture or thermal motion is included.

Structural model:
Cell lengths 3.6017, 3.6017, 26.1166 Å; angles 90.00, 90.00, 120.00 degrees
Space group R3m (No. 160, hexagonal axes)
Symmetry-distinct sites (fractional):
Li 0.0000 0.0000 0.0000 x3
Zr 0.0000 0.0000 0.1445 x3
Ga 0.0000 0.0000 0.3995 x3
I 0.0000 0.0000 0.8894 x3

Top 6 peaks for 5 to 70 degrees two-theta, by intensity:
hkl	Position (°2θ)	I (rel.)
1 0 4	31.79	100
0 0 3	10.16	83
0 1 8	39.98	54
1 1 0	50.69	28
1 1 12	67.51	21
1 0 1	28.83	18

Entry 3:
Calculated X-ray powder pattern of KBi2B for Cu Ka, from a structure optimized by DFT (GGA-PBE).
No peak broadening, texture or thermal motion is included.

Structural model:
Cell lengths 6.452, 6.452, 13.926 Å; angles 90.00, 90.00, 90.00 degrees
Space group I-42d (No. 122)
Symmetry-distinct sites (fractional):
K 0.000 0.000 0.000 x4
Bi 0.085 0.250 0.625 x8
B 0.000 0.000 0.500 x4

Top 6 peaks for 5 to 70 degrees two-theta, by intensity:
hkl	Position (°2θ)	I (rel.)
2 1 1	31.67	100
1 0 1	15.13	92
2 0 2	30.54	70
1 1 2	23.31	68
1 0 3	23.61	57
2 1 3	36.67	53

Entry 4:
Calculated X-ray powder pattern of AcInAg6 for Cu Ka, from a structure optimized by DFT (GGA-PBE).
No peak broadening, texture or thermal motion is included.

Structural model:
Cell lengths 5.628, 5.628, 5.628 Å; angles 90.00, 90.00, 90.00 degrees
Space group Pm-3 (No. 200)
Symmetry-distinct sites (fractional):
Ac 0.000 0.000 0.000 x1
In 0.500 0.500 0.500 x1
Ag 0.000 0.257 0.500 x6

Top 6 peaks for 5 to 70 degrees two-theta, by intensity:
hkl	Position (°2θ)	I (rel.)
2 1 1	39.21	100
2 1 0	35.67	87
3 2 1	61.66	52
2 0 0	31.80	45
3 0 2	59.19	20
4 0 0	66.44	16

Entry 5:
Calculated X-ray powder pattern of MnCrRu4 for Cu Ka, from a structure optimized by DFT (GGA-PBE).
No peak broadening, texture or thermal motion is included.

Structural model:
Cell lengths 4.225, 2.687, 13.844 Å; angles 90.00, 90.00, 90.00 degrees
Space group Amm2 (No. 38)
Symmetry-distinct sites (fractional):
Mn 0.000 0.000 0.000 x2
Cr 0.500 0.000 0.222 x2
Ru 0.000 0.000 0.333 x2
Ru 0.000 0.000 0.666 x2
Ru 0.500 0.000 0.554 x2
Ru 0.500 0.000 0.889 x2

Top 6 peaks for 5 to 70 degrees two-theta, by intensity:
hkl	Position (°2θ)	I (rel.)
1 1 3	44.52	100
1 0 6	44.75	48
2 0 0	42.81	37
0 1 3	38.78	24
2 1 3	59.12	13
0 0 6	39.04	13

Entry 6:
Calculated X-ray powder pattern of U2Pa2Te2Se5 for Cu Ka, from a structure optimized by DFT (GGA-PBE).
No peak broadening, texture or thermal motion is included.

Structural model:
Cell lengths 5.489, 5.489, 25.891 Å; angles 90.00, 90.00, 90.00 degrees
Space group I4/mmm (No. 139)
Symmetry-distinct sites (fractional):
U 0.000 0.000 0.162 x4
Pa 0.000 0.000 0.395 x4
Te 0.000 0.000 0.280 x4
Se 0.000 0.000 0.500 x2
Se 0.000 0.500 0.114 x8

Top 6 peaks for 5 to 70 degrees two-theta, by intensity:
hkl	Position (°2θ)	I (rel.)
2 0 0	32.63	100
1 0 9	35.22	96
1 1 0	22.91	83
0 0 4	13.68	82
2 1 9	48.77	78
2 2 0	46.81	37

Entry 7:
Calculated X-ray powder pattern of H4PbC2O6 for Cu Ka, from a structure optimized by DFT (GGA-PBE).
No peak broadening, texture or thermal motion is included.

Structural model:
Cell lengths 9.419, 7.848, 8.054 Å; angles 90.00, 90.00, 90.00 degrees
Space group Pnma (No. 62)
Symmetry-distinct sites (fractional):
H 0.086 0.153 0.170 x8
H 0.173 0.650 0.938 x8
Pb 0.103 0.750 0.529 x4
C 0.136 0.150 0.765 x8
O 0.054 0.075 0.664 x8
O 0.125 0.750 0.985 x4
O 0.135 0.250 0.220 x4
O 0.217 0.076 0.868 x8

Top 6 peaks for 5 to 70 degrees two-theta, by intensity:
hkl	Position (°2θ)	I (rel.)
1 0 1	14.47	100
2 1 2	31.37	84
1 1 1	18.38	72
2 1 0	22.03	61
1 2 1	26.99	39
3 1 1	32.67	34